Calculated powder diffractogram
Compound: Zn4SnAu7
Radiation: copper Kα
Structure: a cell relaxed with GGA-PBE
No peak broadening, texture or thermal motion is included.

Crystal structure
a b c (Å): 6.150 6.150 9.687
angles (deg): 119.74 119.74 49.57
Fractional positions:
Zn 0.095 0.095 0.279
Zn 0.229 0.229 0.830
Zn 0.771 0.771 0.170
Zn 0.905 0.905 0.721
Sn 0.500 0.500 0.500
Au 0.000 0.000 0.500
Au 0.136 0.136 0.034
Au 0.290 0.290 0.606
Au 0.424 0.424 0.158
Au 0.576 0.576 0.842
Au 0.710 0.710 0.394
Au 0.864 0.864 0.966

Top 10 peaks for 10° ≤ 2θ ≤ 90°, by angle:
25.4 deg, rel. 92.7; 33.6 deg, rel. 53.2; 34.4 deg, rel. 41.3; 34.8 deg, rel. 100.0; 37.5 deg, rel. 30.8; 40.2 deg, rel. 93.8; 43.8 deg, rel. 40.2; 44.8 deg, rel. 38.0; 49.1 deg, rel. 36.8; 49.7 deg, rel. 27.6

Calculated powder diffractogram
Compound: ZnSnAu5
Radiation: copper Kα
Structure: a cell relaxed with GGA-PBE
No peak broadening, texture or thermal motion is included.

Crystal structure
a b c (Å): 4.389 4.389 7.060
angles (deg): 90.00 90.00 90.00
Fractional positions:
Zn 0.000 0.000 0.000
Sn 0.000 0.000 0.500
Au 0.000 0.500 0.211
Au 0.000 0.500 0.789
Au 0.500 0.000 0.211
Au 0.500 0.000 0.789
Au 0.500 0.500 0.500

Top 10 peaks for 10° ≤ 2θ ≤ 90°, by angle:
28.8 deg, rel. 14.6; 31.5 deg, rel. 28.2; 38.2 deg, rel. 13.3; 38.6 deg, rel. 100.0; 41.1 deg, rel. 49.7; 57.4 deg, rel. 16.7; 59.6 deg, rel. 16.9; 68.2 deg, rel. 11.1; 73.3 deg, rel. 31.4; 73.7 deg, rel. 13.2

Calculated powder diffractogram
Compound: ZnSn2Au2
Radiation: copper Kα
Structure: a cell relaxed with GGA-PBE
No peak broadening, texture or thermal motion is included.

Crystal structure
a b c (Å): 5.868 4.256 8.737
angles (deg): 90.00 91.69 90.00
Fractional positions:
Zn 0.069 0.250 0.429
Zn 0.931 0.750 0.571
Sn 0.256 0.750 0.932
Sn 0.476 0.750 0.356
Sn 0.524 0.250 0.644
Sn 0.744 0.250 0.068
Au 0.061 0.250 0.737
Au 0.280 0.250 0.161
Au 0.720 0.750 0.839
Au 0.939 0.750 0.263

Top 10 peaks for 10° ≤ 2θ ≤ 90°, by angle:
29.3 deg, rel. 97.6; 31.9 deg, rel. 84.8; 33.4 deg, rel. 80.3; 37.4 deg, rel. 49.9; 38.9 deg, rel. 100.0; 40.2 deg, rel. 86.3; 42.5 deg, rel. 69.8; 44.7 deg, rel. 44.1; 54.1 deg, rel. 39.1; 63.4 deg, rel. 37.5

Calculated powder diffractogram
Compound: ZnSn3Au3
Radiation: copper Kα
Structure: a cell relaxed with GGA-PBE
No peak broadening, texture or thermal motion is included.

Crystal structure
a b c (Å): 7.508 7.508 7.508
angles (deg): 64.86 64.86 64.86
Fractional positions:
Zn 0.158 0.158 0.158
Zn 0.842 0.842 0.842
Sn 0.131 0.680 0.385
Sn 0.320 0.615 0.869
Sn 0.385 0.131 0.680
Sn 0.615 0.869 0.320
Sn 0.680 0.385 0.131
Sn 0.869 0.320 0.615
Au 0.040 0.449 0.810
Au 0.190 0.960 0.551
Au 0.449 0.810 0.040
Au 0.551 0.190 0.960
Au 0.810 0.040 0.449
Au 0.960 0.551 0.190

Top 10 peaks for 10° ≤ 2θ ≤ 90°, by angle:
22.1 deg, rel. 66.1; 26.8 deg, rel. 22.1; 30.3 deg, rel. 40.7; 34.4 deg, rel. 39.4; 35.5 deg, rel. 28.3; 37.8 deg, rel. 100.0; 38.7 deg, rel. 65.7; 39.8 deg, rel. 22.3; 50.0 deg, rel. 31.9; 67.7 deg, rel. 26.0

Calculated powder diffractogram
Compound: Zn3SnAu2
Radiation: copper Kα
Structure: a cell relaxed with GGA-PBE
No peak broadening, texture or thermal motion is included.

Crystal structure
a b c (Å): 9.339 9.339 10.494
angles (deg): 110.40 110.40 23.75
Fractional positions:
Zn 0.000 0.000 0.000
Zn 0.113 0.113 0.723
Zn 0.195 0.195 0.469
Zn 0.293 0.293 0.098
Zn 0.459 0.459 0.146
Zn 0.541 0.541 0.854
Zn 0.707 0.707 0.902
Zn 0.805 0.805 0.531
Zn 0.887 0.887 0.277
Sn 0.351 0.351 0.774
Sn 0.500 0.500 0.500
Sn 0.649 0.649 0.226
Au 0.044 0.044 0.316
Au 0.141 0.141 0.004
Au 0.314 0.314 0.362
Au 0.686 0.686 0.638
Au 0.859 0.859 0.996
Au 0.956 0.956 0.684

Top 10 peaks for 10° ≤ 2θ ≤ 90°, by angle:
25.5 deg, rel. 33.5; 30.3 deg, rel. 45.3; 31.4 deg, rel. 22.1; 35.0 deg, rel. 100.0; 35.2 deg, rel. 21.4; 36.6 deg, rel. 27.4; 42.0 deg, rel. 72.4; 43.4 deg, rel. 27.9; 45.3 deg, rel. 22.2; 47.3 deg, rel. 43.2

Calculated powder diffractogram
Compound: Sr5Au2
Radiation: copper Kα
Structure: a cell relaxed with GGA-PBE
No peak broadening, texture or thermal motion is included.

Crystal structure
a b c (Å): 9.862 9.862 8.238
angles (deg): 97.18 97.18 43.98
Fractional positions:
Sr 0.074 0.926 0.750
Sr 0.132 0.299 0.313
Sr 0.299 0.132 0.813
Sr 0.311 0.502 0.083
Sr 0.498 0.689 0.417
Sr 0.502 0.311 0.583
Sr 0.689 0.498 0.917
Sr 0.701 0.868 0.187
Sr 0.868 0.701 0.687
Sr 0.926 0.074 0.250
Au 0.091 0.685 0.417
Au 0.315 0.909 0.083
Au 0.685 0.091 0.917
Au 0.909 0.315 0.583

Top 10 peaks for 10° ≤ 2θ ≤ 90°, by angle:
17.3 deg, rel. 100.0; 19.6 deg, rel. 31.1; 20.9 deg, rel. 43.1; 27.4 deg, rel. 60.8; 28.8 deg, rel. 43.3; 30.8 deg, rel. 51.2; 31.3 deg, rel. 33.2; 34.5 deg, rel. 32.3; 34.9 deg, rel. 43.8; 40.6 deg, rel. 38.5